Record 1
Simulated powder diffraction line list
Compound: Tb4Ga12Ir
Radiation: Cu Kα, 1.54184 Å
Structure: a crystal structure in Alexandria, relaxed with GGA-PBE
Kinematic intensities with the Lorentz-polarization factor, no thermal factor.

Main lines, by intensity (2θ = 15–90°):
| 2theta | I (rel.) |
| --- | --- |
| 36.05 | 100 |
| 41.86 | 82 |
| 29.27 | 52 |
| 60.69 | 49 |
| 72.66 | 30 |
| 39.05 | 23 |

a b c (Å): 8.632 8.632 8.632
angles (deg): 90.00 90.00 90.00
Space group Im-3m (No. 229)
Unique sites:
Tb: 0.250 0.250 0.250
Ga: 0.000 0.000 0.293
Ga: 0.000 0.250 0.500
Ir: 0.000 0.000 0.000

Record 2
Simulated powder diffraction line list
Compound: Th2Ga4Ir5
Radiation: Cu Kα, 1.54184 Å
Structure: a crystal structure in Alexandria, relaxed with GGA-PBE
Kinematic intensities with the Lorentz-polarization factor, no thermal factor.

Main lines, by intensity (2θ = 15–90°):
| 2theta | I (rel.) |
| --- | --- |
| 36.71 | 100 |
| 39.51 | 85 |
| 30.10 | 84 |
| 36.93 | 63 |
| 61.85 | 45 |
| 25.31 | 43 |

a b c (Å): 5.707 9.531 15.185
angles (deg): 90.00 90.00 90.00
Space group Fmmm (No. 69)
Unique sites:
Th: 0.000 0.000 0.124
Ga: 0.000 0.156 0.370
Ir: 0.000 0.000 0.500
Ir: 0.250 0.250 0.000
Ir: 0.250 0.250 0.250

Record 3
Simulated powder diffraction line list
Compound: ThGaIr
Radiation: Cu Kα, 1.54184 Å
Structure: a crystal structure in Alexandria, relaxed with GGA-PBE
Kinematic intensities with the Lorentz-polarization factor, no thermal factor.

Main lines, by intensity (2θ = 15–90°):
| 2theta | I (rel.) |
| --- | --- |
| 35.98 | 100 |
| 32.92 | 77 |
| 69.11 | 32 |
| 43.27 | 27 |
| 37.95 | 27 |
| 43.94 | 26 |

a b c (Å): 7.2440 7.2440 4.1212
angles (deg): 90.00 90.00 120.00
Space group P-62m (No. 189)
Unique sites:
Th: 0.0000 0.5856 0.0000
Ga: 0.0000 0.2355 0.5000
Ir: 0.0000 0.0000 0.0000
Ir: 0.3333 0.6667 0.5000

Record 4
Simulated powder diffraction line list
Compound: Th2Ga3Ir
Radiation: Cu Kα, 1.54184 Å
Structure: a crystal structure in Alexandria, relaxed with GGA-PBE
Kinematic intensities with the Lorentz-polarization factor, no thermal factor.

Main lines, by intensity (2θ = 15–90°):
| 2theta | I (rel.) |
| --- | --- |
| 40.00 | 100 |
| 33.18 | 74 |
| 33.88 | 64 |
| 22.78 | 38 |
| 32.34 | 35 |
| 34.21 | 32 |

a b c (Å): 10.506 4.506 7.340
angles (deg): 90.00 131.94 90.00
Space group Cm (No. 8)
Unique sites:
Th: 0.000 0.000 0.000
Th: 0.090 0.000 0.602
Ga: 0.211 0.500 0.394
Ga: 0.379 0.000 0.196
Ga: 0.386 0.000 0.603
Ir: 0.215 0.500 0.992

Record 5
Simulated powder diffraction line list
Compound: Ti3Ga2Ir
Radiation: Cu Kα, 1.54184 Å
Structure: a crystal structure in Alexandria, relaxed with GGA-PBE
Kinematic intensities with the Lorentz-polarization factor, no thermal factor.

Main lines, by intensity (2θ = 15–90°):
| 2theta | I (rel.) |
| --- | --- |
| 41.78 | 100 |
| 37.79 | 88 |
| 38.83 | 83 |
| 44.19 | 80 |
| 40.84 | 78 |
| 40.96 | 69 |

a b c (Å): 13.688 5.384 5.266
angles (deg): 90.00 104.42 90.00
Space group C2/c (No. 15)
Unique sites:
Ti: 0.000 0.140 0.250
Ti: 0.165 0.383 0.577
Ga: 0.165 0.120 0.037
Ir: 0.000 0.364 0.750

Record 6
Simulated powder diffraction line list
Compound: Ti6GaIr
Radiation: Cu Kα, 1.54184 Å
Structure: a crystal structure in Alexandria, relaxed with GGA-PBE
Kinematic intensities with the Lorentz-polarization factor, no thermal factor.

Main lines, by intensity (2θ = 15–90°):
| 2theta | I (rel.) |
| --- | --- |
| 40.18 | 100 |
| 39.89 | 28 |
| 26.18 | 27 |
| 17.15 | 27 |
| 39.06 | 22 |
| 32.46 | 18 |

a b c (Å): 4.520 6.245 9.225
angles (deg): 90.00 90.00 90.00
Space group Amm2 (No. 38)
Unique sites:
Ti: 0.000 0.000 0.000
Ti: 0.000 0.221 0.283
Ti: 0.500 0.000 0.782
Ti: 0.500 0.242 0.512
Ga: 0.000 0.000 0.557
Ir: 0.500 0.000 0.245

Record 7
Simulated powder diffraction line list
Compound: Ti2Ga2Ir
Radiation: Cu Kα, 1.54184 Å
Structure: a crystal structure in Alexandria, relaxed with GGA-PBE
Kinematic intensities with the Lorentz-polarization factor, no thermal factor.

Main lines, by intensity (2θ = 15–90°):
| 2theta | I (rel.) |
| --- | --- |
| 44.28 | 100 |
| 39.29 | 91 |
| 36.64 | 52 |
| 23.66 | 49 |
| 50.81 | 49 |
| 48.01 | 43 |

a b c (Å): 6.469 6.469 7.522
angles (deg): 90.00 90.00 90.00
Space group P4/mnc (No. 128)
Unique sites:
Ti: 0.168 0.330 0.000
Ga: 0.136 0.636 0.250
Ir: 0.000 0.000 0.306

Record 8
Simulated powder diffraction line list
Compound: Tm2Ga4Ir3
Radiation: Cu Kα, 1.54184 Å
Structure: a crystal structure in Alexandria, relaxed with GGA-PBE
Kinematic intensities with the Lorentz-polarization factor, no thermal factor.

Main lines, by intensity (2θ = 15–90°):
| 2theta | I (rel.) |
| --- | --- |
| 40.64 | 100 |
| 39.28 | 65 |
| 37.93 | 60 |
| 72.08 | 30 |
| 28.42 | 23 |
| 43.87 | 22 |

a b c (Å): 5.472 9.499 12.575
angles (deg): 90.00 90.00 90.00
Space group Fmmm (No. 69)
Unique sites:
Tm: 0.000 0.000 0.124
Ga: 0.000 0.169 0.337
Ir: 0.000 0.000 0.500
Ir: 0.250 0.250 0.000

Record 9
Simulated powder diffraction line list
Compound: Tm2Ga5Ir3
Radiation: Cu Kα, 1.54184 Å
Structure: a crystal structure in Alexandria, relaxed with GGA-PBE
Kinematic intensities with the Lorentz-polarization factor, no thermal factor.

Main lines, by intensity (2θ = 15–90°):
| 2theta | I (rel.) |
| --- | --- |
| 35.42 | 100 |
| 35.76 | 72 |
| 42.37 | 63 |
| 46.56 | 36 |
| 39.19 | 27 |
| 39.37 | 26 |

a b c (Å): 4.266 24.409 6.834
angles (deg): 90.00 90.00 90.00
Space group Cmc2_1 (No. 36)
Unique sites:
Tm: 0.000 0.021 0.000
Tm: 0.000 0.323 0.929
Ga: 0.000 0.101 0.633
Ga: 0.000 0.206 0.116
Ga: 0.000 0.209 0.716
Ga: 0.000 0.375 0.485
Ga: 0.000 0.448 0.829
Ir: 0.000 0.109 0.253
Ir: 0.000 0.272 0.413
Ir: 0.000 0.451 0.216

Record 10
Simulated powder diffraction line list
Compound: Tm4GaIr4
Radiation: Cu Kα, 1.54184 Å
Structure: a crystal structure in Alexandria, relaxed with GGA-PBE
Kinematic intensities with the Lorentz-polarization factor, no thermal factor.

Main lines, by intensity (2θ = 15–90°):
| 2theta | I (rel.) |
| --- | --- |
| 40.48 | 100 |
| 41.75 | 81 |
| 34.26 | 79 |
| 34.39 | 66 |
| 34.58 | 53 |
| 38.97 | 48 |

a b c (Å): 7.835 5.471 10.653
angles (deg): 90.00 122.45 90.00
Space group P2/c (No. 13)
Unique sites:
Tm: 0.184 0.116 0.189
Tm: 0.252 0.381 0.912
Ga: 0.500 0.354 0.750
Ir: 0.136 0.373 0.604
Ir: 0.356 0.109 0.505

Record 11
Simulated powder diffraction line list
Compound: YTmGaIr
Radiation: Cu Kα, 1.54184 Å
Structure: a crystal structure in Alexandria, relaxed with GGA-PBE
Kinematic intensities with the Lorentz-polarization factor, no thermal factor.

Main lines, by intensity (2θ = 15–90°):
| 2theta | I (rel.) |
| --- | --- |
| 32.20 | 100 |
| 40.27 | 64 |
| 16.58 | 40 |
| 39.88 | 28 |
| 33.98 | 28 |
| 42.67 | 25 |

a b c (Å): 4.238 3.925 10.692
angles (deg): 90.00 90.00 90.00
Space group Amm2 (No. 38)
Unique sites:
Y: 0.000 0.000 0.000
Tm: 0.500 0.000 0.716
Ga: 0.500 0.000 0.425
Ir: 0.000 0.000 0.279

Record 12
Simulated powder diffraction line list
Compound: UGaIr
Radiation: Cu Kα, 1.54184 Å
Structure: a crystal structure in Alexandria, relaxed with GGA-PBE
Kinematic intensities with the Lorentz-polarization factor, no thermal factor.

Main lines, by intensity (2θ = 15–90°):
| 2theta | I (rel.) |
| --- | --- |
| 36.92 | 100 |
| 39.95 | 70 |
| 70.57 | 32 |
| 55.52 | 32 |
| 74.00 | 24 |
| 22.75 | 23 |

a b c (Å): 4.5137 4.5137 3.1116
angles (deg): 90.00 90.00 120.00
Space group P-6m2 (No. 187)
Unique sites:
U: 0.0000 0.0000 0.0000
Ga: 0.6667 0.3333 0.5000
Ir: 0.3333 0.6667 0.5000

Record 13
Simulated powder diffraction line list
Compound: UGa3Ir3
Radiation: Cu Kα, 1.54184 Å
Structure: a crystal structure in Alexandria, relaxed with GGA-PBE
Kinematic intensities with the Lorentz-polarization factor, no thermal factor.

Main lines, by intensity (2θ = 15–90°):
| 2theta | I (rel.) |
| --- | --- |
| 39.69 | 100 |
| 30.32 | 78 |
| 41.40 | 51 |
| 42.29 | 39 |
| 46.91 | 33 |
| 52.16 | 32 |

a b c (Å): 6.7101 6.7101 18.5132
angles (deg): 90.00 90.00 120.00
Space group R-3 (No. 148, hexagonal axes)
Unique sites:
U: 0.0000 0.0000 0.1619
Ga: 0.0279 0.4092 0.3725
Ir: 0.0112 0.2608 0.5641